The following is a calculated PXRD pattern of Li2MgSn. It was derived from DFT lattice parameters and positions (GGA-PBE), using λ = 1.5418 Å (Cu Kα).
Lines closer than 0.1° are merged.

Cell and atoms:
abc: 4.7137 4.7137 4.7137
angles: 60.00 60.00 60.00
Element x y z (fractional)
Li1 0.2500 0.2500 0.2500
Li2 0.7500 0.7500 0.7500
Mg1 0.0000 0.0000 0.0000
Sn1 0.5000 0.5000 0.5000

The 8 most intense peaks (5° ≤ 2θ ≤ 70°), by intensity:
d/Å, intensity
2.357, 100
3.333, 96
3.849, 87
2.010, 47
1.491, 37
1.361, 36
1.924, 28
1.529, 21